Theoretical powder X-ray diffraction pattern of Li2V3NiO8 for λ = 1.5418 Å (Cu Kα), from a GGA+U-relaxed structure.
Neutral-atom scattering factors, no anomalous dispersion.

Main lines, low angle first (2θ from 10° to 90°):
2theta  d (Å)  I/Imax
14.27  6.208  87.3
15.25  5.810  73.2
23.44  3.795  100.0
28.75  3.105  85.5
44.95  2.017  58.7
45.16  2.008  66.7

Structural model:
Cell: 12.106 4.015 6.467 Å, 90.00 106.29 90.00°
Space group Cm (No. 8)
Inequivalent atoms, fractional coordinates:
1 Li 0.000 0.000 0.000 (multiplicity 2)
2 Li 0.124 0.000 0.701 (multiplicity 2)
3 V 0.169 0.500 0.039 (multiplicity 2)
4 V 0.274 0.500 0.627 (multiplicity 2)
5 V 0.453 0.000 0.612 (multiplicity 2)
6 Ni 0.349 0.000 0.029 (multiplicity 2)
7 O 0.013 0.500 0.986 (multiplicity 2)
8 O 0.123 0.500 0.698 (multiplicity 2)
9 O 0.175 0.000 0.022 (multiplicity 2)
10 O 0.218 0.500 0.350 (multiplicity 2)
11 O 0.297 0.000 0.676 (multiplicity 2)
12 O 0.321 0.500 0.978 (multiplicity 2)
13 O 0.420 0.000 0.343 (multiplicity 2)
14 O 0.443 0.500 0.665 (multiplicity 2)